Starting from a PBE+U-relaxed structure, the X-ray powder pattern of PrHoMo2O8 was computed for Cu Kα, 1.54184 Å.
Lines closer than 0.1° are merged.

Crystal structure
a b c (Å): 6.7894 6.7894 6.7894
angles (deg): 133.85 133.85 67.32
Element x y z (fractional)
Pr (0.0000, 0.0000, 0.0000)
Ho (0.2500, 0.7500, 0.5000)
Mo (0.5000, 0.5000, 0.0000)
Mo (0.7500, 0.2500, 0.5000)
O (0.0262, 0.0759, 0.4261)
O (0.2453, 0.6454, 0.0661)
O (0.3546, 0.4208, 0.6000)
O (0.3999, 0.9738, 0.0497)
O (0.5792, 0.1792, 0.9339)
O (0.6498, 0.6001, 0.5739)
O (0.8208, 0.7547, 0.4000)
O (0.9241, 0.3502, 0.9503)

Main lines, most intense first (2θ = 10–90°):
2θ 28.50, I 100; 2θ 46.90, I 31; 2θ 57.11, I 28; 2θ 33.68, I 20; 2θ 54.47, I 16; 2θ 48.38, I 15; 2θ 31.67, I 13; 2θ 75.80, I 12; 2θ 58.98, I 11; 2θ 89.33, I 9; 2θ 76.31, I 6; 2θ 78.03, I 6